This entry pairs a crystal structure of K2Ti2Cl7 with its theoretical powder diffractogram. Radiation: Cu Kα. Structure: a GGA-PBE-relaxed structure.
Kinematic intensities with the Lorentz-polarization factor, no thermal factor.

abc: 8.029 8.029 7.050
angles: 96.92 96.92 124.59
Fractional positions:
K  0.192  0.808  0.000
K  0.808  0.192  0.000
Ti  0.193  0.193  0.591
Ti  0.807  0.807  0.409
Cl  0.064  0.064  0.251
Cl  0.113  0.416  0.730
Cl  0.416  0.113  0.730
Cl  0.500  0.500  0.500
Cl  0.584  0.887  0.270
Cl  0.887  0.584  0.270
Cl  0.936  0.936  0.749

Most intense lines, 10 to 90 degrees two-theta, sorted by position:
7.109 Å, 2θ = 12.45°, I = 38; 6.431 Å, 2θ = 13.77°, I = 47; 4.917 Å, 2θ = 18.04°, I = 100; 4.214 Å, 2θ = 21.08°, I = 46; 3.229 Å, 2θ = 27.62°, I = 38; 2.440 Å, 2θ = 36.84°, I = 45

---

This entry pairs a crystal structure of CsRbZnSe2 with its theoretical powder diffractogram. Radiation: Cu Kα. Structure: a GGA-PBE-relaxed structure.
Kinematic intensities with the Lorentz-polarization factor, no thermal factor.

abc: 5.959 8.356 7.198
angles: 90.00 90.00 90.00
Fractional positions:
Cs  0.250  0.000  0.208
Cs  0.750  0.000  0.792
Rb  0.250  0.500  0.405
Rb  0.750  0.500  0.595
Zn  0.000  0.500  0.000
Zn  0.500  0.500  0.000
Se  0.250  0.289  0.826
Se  0.250  0.711  0.826
Se  0.750  0.289  0.174
Se  0.750  0.711  0.174

Most intense lines, 10 to 90 degrees two-theta, sorted by position:
4.023 Å, 2θ = 22.10°, I = 24; 3.306 Å, 2θ = 26.97°, I = 22; 3.089 Å, 2θ = 28.91°, I = 100; 2.891 Å, 2θ = 30.94°, I = 26; 2.297 Å, 2θ = 39.22°, I = 26; 1.740 Å, 2θ = 52.59°, I = 23

---

This entry pairs a crystal structure of NdHIBr with its theoretical powder diffractogram. Radiation: Cu Kα. Structure: a GGA-PBE-relaxed structure.
Kinematic intensities with the Lorentz-polarization factor, no thermal factor.

abc: 4.079 4.079 8.265
angles: 104.42 104.42 60.00
Fractional positions:
Nd  0.000  0.000  0.000
H  0.335  0.335  0.005
I  0.760  0.760  0.276
Br  0.585  0.585  0.758

Most intense lines, 10 to 90 degrees two-theta, sorted by position:
7.916 Å, 2θ = 11.18°, I = 80; 3.494 Å, 2θ = 25.49°, I = 67; 3.036 Å, 2θ = 29.42°, I = 79; 2.834 Å, 2θ = 31.56°, I = 100; 2.447 Å, 2θ = 36.73°, I = 40; 2.039 Å, 2θ = 44.42°, I = 54

---

This entry pairs a crystal structure of Rb2Ba8MgSb6O2 with its theoretical powder diffractogram. Radiation: Cu Kα. Structure: a GGA-PBE-relaxed structure.
Kinematic intensities with the Lorentz-polarization factor, no thermal factor.

abc: 10.897 9.351 10.621
angles: 65.78 51.49 62.73
Fractional positions:
Rb  0.241  0.759  0.759
Rb  0.759  0.241  0.241
Ba  0.037  0.444  0.248
Ba  0.210  0.586  0.414
Ba  0.254  0.946  0.054
Ba  0.444  0.037  0.270
Ba  0.586  0.210  0.790
Ba  0.730  0.752  0.556
Ba  0.752  0.730  0.963
Ba  0.946  0.254  0.746
Mg  0.421  0.421  0.579
Sb  0.001  0.001  0.499
Sb  0.132  0.365  0.868
Sb  0.365  0.132  0.635
Sb  0.501  0.501  0.999
Sb  0.616  0.616  0.384
Sb  0.884  0.884  0.116
O  0.499  0.980  0.020
O  0.980  0.499  0.501

Most intense lines, 10 to 90 degrees two-theta, sorted by position:
3.419 Å, 2θ = 26.06°, I = 100; 3.301 Å, 2θ = 27.01°, I = 78; 3.139 Å, 2θ = 28.43°, I = 30; 3.012 Å, 2θ = 29.66°, I = 42; 2.892 Å, 2θ = 30.92°, I = 37; 1.801 Å, 2θ = 50.70°, I = 23